(1)
Simulated powder diffraction line list of RbLiCu2H3S2O10 for CuKα, from the PBE geometry in the Materials Project.

Most intense lines, 2θ from 10° to 80°, low angle first:
d/Å	I_rel
5.051	44
3.571	67
3.410	37
3.041	45
2.980	52
2.933	100

Structural model:
```
data_RbLiCu2H3S2O10
_chemical_formula_sum 'Rb1 Li1 Cu2 H3 S2 O10'
_space_group_name_H-M_alt 'P 1'
_space_group_IT_number 1
_space_group_name_Hall 'P 1'
_cell_length_a 5.8292
_cell_length_b 6.2386
_cell_length_c 7.6327
_cell_angle_alpha 106.30
_cell_angle_beta 99.35
_cell_angle_gamma 114.38
loop_
_atom_site_label
_atom_site_fract_x
_atom_site_fract_y
_atom_site_fract_z
Rb1 0.0000 0.0000 0.0000
Li1 0.2368 0.7789 0.4923
Cu1 0.5028 0.4944 0.4954
Cu2 0.9710 0.1040 0.5416
H1 0.2552 0.5559 0.7246
H2 0.7534 0.4433 0.2520
H3 0.9070 0.4442 0.4508
S1 0.4265 0.7806 0.2040
S2 0.5686 0.2258 0.7863
O1 0.1976 0.4735 0.5828
O2 0.2657 0.0768 0.7089
O3 0.3173 0.9432 0.2976
O4 0.3289 0.6855 0.9941
O5 0.3375 0.5574 0.2695
O6 0.6577 0.0429 0.6886
O7 0.6601 0.3052 0.9955
O8 0.6689 0.4535 0.7326
O9 0.7258 0.9284 0.2739
O10 0.8107 0.5229 0.3948
```

***

(2)
Simulated powder diffraction line list of Nb6Ni16Ge7 for CuKα, from the PBE geometry in the Materials Project.

Most intense lines, 2θ from 10° to 80°, low angle first:
d/Å	I_rel
2.337	23
2.203	75
2.024	100
1.935	16
1.908	12
1.349	17

Structural model:
```
data_Nb6Ni16Ge7
_chemical_formula_sum 'Nb6 Ni16 Ge7'
_space_group_name_H-M_alt 'P 1'
_space_group_IT_number 1
_space_group_name_Hall 'P 1'
_cell_length_a 8.0944
_cell_length_b 8.0944
_cell_length_c 8.0944
_cell_angle_alpha 60.00
_cell_angle_beta 60.00
_cell_angle_gamma 60.00
loop_
_atom_site_label
_atom_site_fract_x
_atom_site_fract_y
_atom_site_fract_z
Nb1 0.1990 0.1990 0.8010
Nb2 0.1990 0.8010 0.1990
Nb3 0.1990 0.8010 0.8010
Nb4 0.8010 0.1990 0.1990
Nb5 0.8010 0.1990 0.8010
Nb6 0.8010 0.8010 0.1990
Ni1 0.1484 0.6172 0.6172
Ni2 0.1675 0.1675 0.1675
Ni3 0.1675 0.1675 0.4975
Ni4 0.1675 0.4975 0.1675
Ni5 0.3828 0.3828 0.3828
Ni6 0.3828 0.3828 0.8516
Ni7 0.3828 0.8516 0.3828
Ni8 0.4975 0.1675 0.1675
Ni9 0.5025 0.8325 0.8325
Ni10 0.6172 0.1484 0.6172
Ni11 0.6172 0.6172 0.1484
Ni12 0.6172 0.6172 0.6172
Ni13 0.8325 0.5025 0.8325
Ni14 0.8325 0.8325 0.5025
Ni15 0.8325 0.8325 0.8325
Ni16 0.8516 0.3828 0.3828
Ge1 0.0000 0.0000 0.5000
Ge2 0.0000 0.5000 0.0000
Ge3 0.0000 0.5000 0.5000
Ge4 0.5000 0.0000 0.0000
Ge5 0.5000 0.0000 0.5000
Ge6 0.5000 0.5000 0.0000
Ge7 0.5000 0.5000 0.5000
```

***

(3)
Simulated powder diffraction line list of MgZn for CuKα, from the PBE geometry in the Materials Project.

Most intense lines, 2θ from 10° to 80°, low angle first:
d/Å	I_rel
4.545	27
2.653	39
2.291	100
2.273	20
1.726	21
1.270	17

Structural model:
```
data_MgZn
_chemical_formula_sum 'Mg1 Zn1'
_space_group_name_H-M_alt 'P 1'
_space_group_IT_number 1
_space_group_name_Hall 'P 1'
_cell_length_a 3.0637
_cell_length_b 3.0637
_cell_length_c 4.5452
_cell_angle_alpha 90.00
_cell_angle_beta 90.00
_cell_angle_gamma 120.00
loop_
_atom_site_label
_atom_site_fract_x
_atom_site_fract_y
_atom_site_fract_z
Mg1 0.0000 0.0000 0.0000
Zn1 0.6667 0.3333 0.5000
```

***

(4)
Simulated powder diffraction line list of Nb5Ni41B12 for CuKα, from the PBE geometry in the Materials Project.

Most intense lines, 2θ from 10° to 80°, low angle first:
d/Å	I_rel
2.359	32
2.154	39
2.030	100
1.865	26
1.783	23
1.243	27

Structural model:
```
data_Nb5Ni41B12
_chemical_formula_sum 'Nb5 Ni41 B12'
_space_group_name_H-M_alt 'P 1'
_space_group_IT_number 1
_space_group_name_Hall 'P 1'
_cell_length_a 12.9275
_cell_length_b 12.9275
_cell_length_c 12.9275
_cell_angle_alpha 33.53
_cell_angle_beta 33.53
_cell_angle_gamma 33.53
loop_
_atom_site_label
_atom_site_fract_x
_atom_site_fract_y
_atom_site_fract_z
Nb1 0.0000 0.0000 0.0000
Nb2 0.1253 0.1253 0.1253
Nb3 0.3752 0.3752 0.3752
Nb4 0.6248 0.6248 0.6248
Nb5 0.8747 0.8747 0.8747
Ni1 0.0000 0.3435 0.6565
Ni2 0.0000 0.6565 0.3435
Ni3 0.0375 0.5775 0.5775
Ni4 0.0767 0.0767 0.5387
Ni5 0.0767 0.5387 0.0767
Ni6 0.1591 0.5000 0.8409
Ni7 0.1591 0.8409 0.5000
Ni8 0.1733 0.8264 0.8264
Ni9 0.1736 0.1736 0.8267
Ni10 0.1736 0.8267 0.1736
Ni11 0.1924 0.1924 0.1924
Ni12 0.3076 0.3076 0.3076
Ni13 0.3311 0.3311 0.6694
Ni14 0.3311 0.6694 0.3311
Ni15 0.3306 0.6689 0.6689
Ni16 0.3435 0.0000 0.6565
Ni17 0.3435 0.6565 0.0000
Ni18 0.4225 0.4225 0.9625
Ni19 0.4225 0.9625 0.4225
Ni20 0.4613 0.9233 0.9233
Ni21 0.5000 0.1591 0.8409
Ni22 0.5000 0.5000 0.5000
Ni23 0.5000 0.8409 0.1591
Ni24 0.5387 0.0767 0.0767
Ni25 0.5775 0.0375 0.5775
Ni26 0.5775 0.5775 0.0375
Ni27 0.6565 0.0000 0.3435
Ni28 0.6565 0.3435 0.0000
Ni29 0.6694 0.3311 0.3311
Ni30 0.6689 0.3306 0.6689
Ni31 0.6689 0.6689 0.3306
Ni32 0.6924 0.6924 0.6924
Ni33 0.8076 0.8076 0.8076
Ni34 0.8264 0.1734 0.8264
Ni35 0.8264 0.8264 0.1733
Ni36 0.8267 0.1736 0.1736
Ni37 0.8409 0.1591 0.5000
Ni38 0.8409 0.5000 0.1591
Ni39 0.9233 0.4613 0.9233
Ni40 0.9233 0.9233 0.4613
Ni41 0.9625 0.4225 0.4225
B1 0.0977 0.6341 0.6341
B2 0.1332 0.1332 0.6001
B3 0.1332 0.6001 0.1332
B4 0.3659 0.3659 0.9023
B5 0.3659 0.9023 0.3659
B6 0.3999 0.8668 0.8668
B7 0.6001 0.1332 0.1332
B8 0.6341 0.0977 0.6341
B9 0.6341 0.6341 0.0977
B10 0.8668 0.3999 0.8668
B11 0.8668 0.8668 0.3999
B12 0.9023 0.3659 0.3659
```

***

(5)
Simulated powder diffraction line list of NdTiGe for CuKα, from the PBE geometry in the Materials Project.

Most intense lines, 2θ from 10° to 80°, low angle first:
d/Å	I_rel
2.925	63
2.861	100
2.744	51
2.353	67
2.068	57
1.676	41

Structural model:
```
data_NdTiGe
_chemical_formula_sum 'Nd2 Ti2 Ge2'
_space_group_name_H-M_alt 'P 1'
_space_group_IT_number 1
_space_group_name_Hall 'P 1'
_cell_length_a 4.1366
_cell_length_b 4.1366
_cell_length_c 7.9239
_cell_angle_alpha 90.00
_cell_angle_beta 90.00
_cell_angle_gamma 90.00
loop_
_atom_site_label
_atom_site_fract_x
_atom_site_fract_y
_atom_site_fract_z
Nd1 0.2500 0.2500 0.1533
Nd2 0.7500 0.7500 0.8467
Ti1 0.2500 0.7500 0.5000
Ti2 0.7500 0.2500 0.5000
Ge1 0.2500 0.2500 0.7266
Ge2 0.7500 0.7500 0.2734
```

***

(6)
Simulated powder diffraction line list of Na3InN2 for CuKα, from the PBE geometry in the Materials Project.

Most intense lines, 2θ from 10° to 80°, low angle first:
d/Å	I_rel
4.638	100
3.036	82
2.840	85
2.422	25
2.008	89
1.843	29

Structural model:
```
data_Na3InN2
_chemical_formula_sum 'Na24 In8 N16'
_space_group_name_H-M_alt 'P 1'
_space_group_IT_number 1
_space_group_name_Hall 'P 1'
_cell_length_a 9.8381
_cell_length_b 9.8381
_cell_length_c 9.8381
_cell_angle_alpha 109.47
_cell_angle_beta 109.47
_cell_angle_gamma 109.47
loop_
_atom_site_label
_atom_site_fract_x
_atom_site_fract_y
_atom_site_fract_z
Na1 0.0201 0.9762 0.2405
Na2 0.0238 0.7595 0.9799
Na3 0.0439 0.5201 0.2796
Na4 0.2204 0.7405 0.7643
Na5 0.2357 0.7796 0.2595
Na6 0.2405 0.0201 0.9762
Na7 0.2595 0.2357 0.7796
Na8 0.2643 0.5238 0.5439
Na9 0.2796 0.0439 0.5201
Na10 0.4561 0.7357 0.4762
Na11 0.4762 0.4561 0.7357
Na12 0.4799 0.7204 0.9561
Na13 0.5201 0.2796 0.0439
Na14 0.5238 0.5439 0.2643
Na15 0.5439 0.2643 0.5238
Na16 0.7204 0.9561 0.4799
Na17 0.7357 0.4762 0.4561
Na18 0.7405 0.7643 0.2204
Na19 0.7595 0.9799 0.0238
Na20 0.7643 0.2204 0.7405
Na21 0.7796 0.2595 0.2357
Na22 0.9561 0.4799 0.7204
Na23 0.9762 0.2405 0.0201
Na24 0.9799 0.0238 0.7595
In1 0.0000 0.2269 0.5000
In2 0.0000 0.7731 0.5000
In3 0.2269 0.5000 0.0000
In4 0.2731 0.2731 0.2731
In5 0.5000 0.0000 0.2269
In6 0.5000 0.0000 0.7731
In7 0.7269 0.7269 0.7269
In8 0.7731 0.5000 0.0000
N1 0.0000 0.0000 0.5000
N2 0.0000 0.5000 0.0000
N3 0.0384 0.2500 0.2884
N4 0.2116 0.4616 0.7500
N5 0.2500 0.2884 0.0384
N6 0.2500 0.7884 0.5384
N7 0.2884 0.0384 0.2500
N8 0.4616 0.7500 0.2116
N9 0.5000 0.0000 0.0000
N10 0.5000 0.5000 0.5000
N11 0.5384 0.2500 0.7884
N12 0.7116 0.9616 0.7500
N13 0.7500 0.2116 0.4616
N14 0.7500 0.7116 0.9616
N15 0.7884 0.5384 0.2500
N16 0.9616 0.7500 0.7116
```

***

(7)
Simulated powder diffraction line list of RbYMg14 for CuKα, from the PBE geometry in the Materials Project.

Most intense lines, 2θ from 10° to 80°, low angle first:
d/Å	I_rel
5.834	25
3.907	25
2.917	28
2.631	24
2.551	100
1.418	19

Structural model:
```
data_RbYMg14
_chemical_formula_sum 'Rb1 Y1 Mg14'
_space_group_name_H-M_alt 'P 1'
_space_group_IT_number 1
_space_group_name_Hall 'P 1'
_cell_length_a 6.7368
_cell_length_b 6.7368
_cell_length_c 10.5228
_cell_angle_alpha 90.00
_cell_angle_beta 90.00
_cell_angle_gamma 120.00
loop_
_atom_site_label
_atom_site_fract_x
_atom_site_fract_y
_atom_site_fract_z
Rb1 0.0000 0.0000 0.0000
Y1 0.0000 0.0000 0.5000
Mg1 0.0046 0.5023 0.0000
Mg2 0.0064 0.5032 0.5000
Mg3 0.1733 0.3465 0.2577
Mg4 0.1733 0.3465 0.7423
Mg5 0.1733 0.8267 0.2577
Mg6 0.1733 0.8267 0.7423
Mg7 0.4968 0.5032 0.5000
Mg8 0.4968 0.9936 0.5000
Mg9 0.4977 0.5023 0.0000
Mg10 0.4977 0.9954 0.0000
Mg11 0.6535 0.8267 0.2577
Mg12 0.6535 0.8267 0.7423
Mg13 0.6667 0.3333 0.2493
Mg14 0.6667 0.3333 0.7507
```

***

(8)
Simulated powder diffraction line list of Mg2SnSe4 for CuKα, from the PBE geometry in the Materials Project.

Most intense lines, 2θ from 10° to 80°, low angle first:
d/Å	I_rel
5.238	51
3.481	40
3.076	100
3.049	55
1.995	74
1.853	58

Structural model:
```
data_Mg2SnSe4
_chemical_formula_sum 'Mg8 Sn4 Se16'
_space_group_name_H-M_alt 'P 1'
_space_group_IT_number 1
_space_group_name_Hall 'P 1'
_cell_length_a 13.7693
_cell_length_b 8.0701
_cell_length_c 6.5677
_cell_angle_alpha 90.00
_cell_angle_beta 90.00
_cell_angle_gamma 90.00
loop_
_atom_site_label
_atom_site_fract_x
_atom_site_fract_y
_atom_site_fract_z
Mg1 0.0000 0.0000 0.0000
Mg2 0.0000 0.5000 0.0000
Mg3 0.2310 0.2500 0.4968
Mg4 0.2690 0.7500 0.9968
Mg5 0.5000 0.0000 0.5000
Mg6 0.5000 0.5000 0.5000
Mg7 0.7310 0.2500 0.0032
Mg8 0.7690 0.7500 0.5032
Sn1 0.0893 0.7500 0.4175
Sn2 0.4107 0.2500 0.9175
Sn3 0.5893 0.7500 0.0825
Sn4 0.9107 0.2500 0.5825
Se1 0.0777 0.2500 0.7577
Se2 0.0927 0.7500 0.8044
Se3 0.1706 0.5055 0.2345
Se4 0.1706 0.9945 0.2345
Se5 0.3294 0.0055 0.7345
Se6 0.3294 0.4945 0.7345
Se7 0.4073 0.2500 0.3044
Se8 0.4223 0.7500 0.2577
Se9 0.5777 0.2500 0.7423
Se10 0.5927 0.7500 0.6956
Se11 0.6706 0.5055 0.2655
Se12 0.6706 0.9945 0.2655
Se13 0.8294 0.0055 0.7655
Se14 0.8294 0.4945 0.7655
Se15 0.9073 0.2500 0.1956
Se16 0.9223 0.7500 0.2423
```

***

(9)
Simulated powder diffraction line list of MgSi for CuKα, from the PBE geometry in the Materials Project.

Most intense lines, 2θ from 10° to 80°, low angle first:
d/Å	I_rel
2.663	98
2.623	41
2.564	79
2.400	67
2.375	100
2.191	78

Structural model:
```
data_MgSi
_chemical_formula_sum 'Mg4 Si4'
_space_group_name_H-M_alt 'P 1'
_space_group_IT_number 1
_space_group_name_Hall 'P 1'
_cell_length_a 4.3880
_cell_length_b 5.8693
_cell_length_c 6.1665
_cell_angle_alpha 90.00
_cell_angle_beta 108.08
_cell_angle_gamma 90.00
loop_
_atom_site_label
_atom_site_fract_x
_atom_site_fract_y
_atom_site_fract_z
Mg1 0.0905 0.2500 0.1338
Mg2 0.2288 0.7500 0.4348
Mg3 0.7712 0.2500 0.5652
Mg4 0.9095 0.7500 0.8662
Si1 0.3782 0.0455 0.8013
Si2 0.3782 0.4545 0.8013
Si3 0.6218 0.5455 0.1987
Si4 0.6218 0.9545 0.1987
```

***

(10)
Simulated powder diffraction line list of NbZn3 for CuKα, from the PBE geometry in the Materials Project.

Most intense lines, 2θ from 10° to 80°, low angle first:
d/Å	I_rel
3.948	2
2.792	2
2.279	100
1.974	48
1.766	1
1.396	29

Structural model:
```
data_NbZn3
_chemical_formula_sum 'Nb1 Zn3'
_space_group_name_H-M_alt 'P 1'
_space_group_IT_number 1
_space_group_name_Hall 'P 1'
_cell_length_a 3.9480
_cell_length_b 3.9480
_cell_length_c 3.9480
_cell_angle_alpha 90.00
_cell_angle_beta 90.00
_cell_angle_gamma 90.00
loop_
_atom_site_label
_atom_site_fract_x
_atom_site_fract_y
_atom_site_fract_z
Nb1 0.0000 0.0000 0.0000
Zn1 0.0000 0.5000 0.5000
Zn2 0.5000 0.0000 0.5000
Zn3 0.5000 0.5000 0.0000
```